For DyCrAsO5, a DFT-relaxed cell (PBE+U, Alexandria) gives the theoretical X-ray diffraction stick pattern in this record (Cu Ka).
Kinematic intensities with the Lorentz-polarization factor, no thermal factor.

Structural model:
a b c (Å): 5.7194 5.7194 7.9347
angles (deg): 100.90 100.90 111.13
Atoms (fractional coordinates):
Dy: 0.0000 0.0000 0.0000
Dy: 0.0000 0.0000 0.5000
Cr: 0.3094 0.6906 0.7500
Cr: 0.6906 0.3094 0.2500
As: 0.3133 0.6867 0.2500
As: 0.6867 0.3133 0.7500
O: 0.0379 0.6470 0.3268
O: 0.1039 0.8961 0.7500
O: 0.2728 0.4334 0.0780
O: 0.3530 0.9621 0.1732
O: 0.4334 0.2728 0.5780
O: 0.5666 0.7272 0.4220
O: 0.6470 0.0379 0.8268
O: 0.7272 0.5666 0.9220
O: 0.8961 0.1039 0.2500
O: 0.9621 0.3530 0.6732

Peak list (6 most intense, 2θ from 10° to 80°, by angle)
two_theta	I (rel.)
17.32	64
25.24	95
29.30	60
30.51	100
32.02	77
36.55	35